Starting from a GGA-PBE-relaxed structure, the powder X-ray diffraction pattern of MgCu4Ag4O6 was simulated for CuKα.

Structural model:
```
data_MgCu4Ag4O6
_cell_length_a 8.232
_cell_length_b 9.378
_cell_length_c 6.619
_cell_angle_alpha 90.00
_cell_angle_beta 122.43
_cell_angle_gamma 90.00
_symmetry_space_group_name_H-M 'C 1 2 1'
_symmetry_Int_Tables_number 5
_symmetry_space_group_name_Hall 'C 2y'
loop_
_atom_site_label
_atom_site_type_symbol
_atom_site_fract_x
_atom_site_fract_y
_atom_site_fract_z
_atom_site_occupancy
Mg1 Mg 0.000 0.000 0.000 1
Cu1 Cu 0.137 0.010 0.470 1
Cu2 Cu 0.245 0.229 0.778 1
Ag1 Ag 0.028 0.492 0.759 1
Ag2 Ag 0.233 0.752 0.711 1
O1 O 0.000 0.152 0.500 1
O2 O 0.000 0.792 0.000 1
O3 O 0.211 0.110 0.001 1
O4 O 0.217 0.370 0.539 1
```

The 10 most intense peaks (2θ = 10–90°), low angle first:
5.585 Å, 15.87 deg, intensity 26, (0 0 1); 3.086 Å, 28.93 deg, intensity 44, (1 1 -2); 2.791 Å, 32.07 deg, intensity 91, (2 2 0); 2.617 Å, 34.26 deg, intensity 100, (2 2 -2); 2.344 Å, 38.41 deg, intensity 48, (0 4 0); 2.259 Å, 39.91 deg, intensity 18, (1 3 -2); 2.154 Å, 41.94 deg, intensity 27, (1 1 2); 2.047 Å, 44.24 deg, intensity 19, (4 0 -2); 1.796 Å, 50.84 deg, intensity 19, (0 4 2); 1.543 Å, 59.97 deg, intensity 32, (4 4 -2)

Starting from a GGA-PBE-relaxed structure, the powder X-ray diffraction pattern of Sr2MgCuAg2S2O2 was simulated for CuKα.

Structural model:
```
data_Sr2MgCuAg2S2O2
_cell_length_a 4.019
_cell_length_b 4.019
_cell_length_c 28.527
_cell_angle_alpha 90.00
_cell_angle_beta 90.00
_cell_angle_gamma 90.00
_symmetry_space_group_name_H-M 'I 4/m m m'
_symmetry_Int_Tables_number 139
_symmetry_space_group_name_Hall '-I 4 2'
loop_
_atom_site_label
_atom_site_type_symbol
_atom_site_fract_x
_atom_site_fract_y
_atom_site_fract_z
_atom_site_occupancy
Sr1 Sr 0.000 0.000 0.145 1
Mg1 Mg 0.000 0.000 0.000 1
Cu1 Cu 0.000 0.000 0.500 1
Ag1 Ag 0.000 0.500 0.250 1
S1 S 0.000 0.000 0.358 1
O1 O 0.000 0.500 0.000 1
```

The 10 most intense peaks (2θ = 10–90°), low angle first:
7.132 Å, 12.41 deg, intensity 32, (0 0 4); 3.702 Å, 24.04 deg, intensity 31, (1 0 3); 3.566 Å, 24.97 deg, intensity 84, (0 0 8); 2.787 Å, 32.12 deg, intensity 37, (1 1 2); 2.640 Å, 33.96 deg, intensity 89, (1 1 4); 2.439 Å, 36.85 deg, intensity 100, (1 1 6); 2.009 Å, 45.12 deg, intensity 49, (2 0 0); 1.751 Å, 52.26 deg, intensity 40, (2 0 8); 1.656 Å, 55.49 deg, intensity 40, (1 1 14); 1.228 Å, 77.81 deg, intensity 25, (3 1 6)

- Number 1 is which compound?
  MgCu4Ag4O6

- What is the formula in the second record?
  Sr2MgCuAg2S2O2